# Li4V3Cu3Sb2O16
Computed powder XRD pattern, copper Kα. Input: a DFT-relaxed cell (GGA+U, Alexandria).
No peak broadening, texture or thermal motion is included.

Most intense lines, 15 to 90 degrees two-theta, sorted by position:
hkl, d [Å], I/Imax
0 1 -1, 4.725, 46
1 0 -1, 4.656, 54
1 -1 1, 4.556, 49
0 1 1, 4.516, 100
-1 1 1, 4.480, 53
-1 1 3, 2.723, 39
2 -1 2, 2.520, 48
-1 2 2, 2.491, 65

Cell and atoms:
Unit cell a=5.9054 b=5.9527 c=9.8140 alpha=92.58 beta=90.53 gamma=118.37
Positions (direct):
Li 0.0000 0.0000 0.0000
Li 0.0094 0.0209 0.5104
Li 0.3286 0.6798 0.4298
Li 0.6641 0.3112 0.9212
V 0.1780 0.3552 0.7410
V 0.3421 0.1889 0.2298
V 0.8319 0.1863 0.2394
Cu 0.1685 0.8344 0.7280
Cu 0.6632 0.8357 0.7279
Cu 0.8283 0.6690 0.2287
Sb 0.3457 0.6740 0.0045
Sb 0.6712 0.3546 0.5113
O 0.0020 0.0226 0.3177
O 0.0080 0.0202 0.8110
O 0.0284 0.4897 0.8806
O 0.1732 0.3480 0.1272
O 0.2069 0.8760 0.1140
O 0.3239 0.6493 0.6358
O 0.3468 0.1982 0.6087
O 0.4556 0.4699 0.8792
O 0.4791 0.4558 0.3639
O 0.4805 0.9468 0.8655
O 0.5321 0.0496 0.3591
O 0.6683 0.3185 0.1283
O 0.6837 0.8465 0.1106
O 0.8408 0.7012 0.6024
O 0.8583 0.2091 0.6075
O 0.9562 0.4892 0.3640